Starting from the GGA+U geometry in Alexandria, the powder diffraction line list of Li4Cr2Ni3Te3O16 was computed for CuKα.
Lines closer than 0.1° are merged.

Principal peaks in the range 2θ from 10° to 80°, by intensity:
18.36°, I 100
43.92°, I 41
19.04°, I 39
18.91°, I 37
34.50°, I 31
34.69°, I 31

Atomic structure:
abc: 6.121 6.127 9.667
angles: 89.41 88.59 61.18
Fractional coordinates of all 28 atoms:
1 Li 0.000 0.000 0.000
2 Li 0.014 0.004 0.479
3 Li 0.338 0.317 0.367
4 Li 0.687 0.637 0.899
5 Cr 0.316 0.296 0.992
6 Cr 0.635 0.651 0.467
7 Ni 0.167 0.143 0.711
8 Ni 0.332 0.806 0.206
9 Ni 0.823 0.315 0.209
10 Te 0.160 0.637 0.706
11 Te 0.656 0.150 0.707
12 Te 0.823 0.806 0.206
13 O 0.046 0.440 0.846
14 O 0.137 0.649 0.091
15 O 0.163 0.138 0.094
16 O 0.318 0.823 0.588
17 O 0.356 0.290 0.594
18 O 0.494 0.446 0.834
19 O 0.496 0.014 0.832
20 O 0.512 0.503 0.338
21 O 0.526 0.939 0.334
22 O 0.668 0.117 0.095
23 O 0.673 0.649 0.100
24 O 0.799 0.854 0.590
25 O 0.814 0.306 0.597
26 O 0.949 0.521 0.339
27 O 0.965 0.003 0.812
28 O 0.982 0.968 0.300